(1)
Starting from a crystal structure in Alexandria, relaxed with PBE, the powder diffraction line list of Ac4Rh was simulated for Cu Kα (λ = 1.5418 Å).

Crystal structure
abc: 13.7635 14.5591 8.2747
angles: 90.00 90.00 90.00
Space group Fdd2 (No. 43)
One atom of each set of equivalent atoms:
Ac (0.1220, 0.3328, 0.0000) x16
Ac (0.1233, 0.0826, 0.2478) x16
Rh (0.0000, 0.0000, 0.4997) x8

Peak list (10 most intense, 2θ from 5° to 70°, by angle)
index, 2θ (°), I (rel.)
0 2 2, 24.75, 13
4 0 0, 25.89, 31
2 4 0, 27.73, 53
2 2 2, 27.99, 100
4 2 2, 36.12, 27
0 6 2, 43.22, 27
6 4 0, 46.81, 13
6 2 2, 46.98, 25
4 6 2, 51.08, 21
2 4 4, 52.60, 19

(2)
Starting from a crystal structure in Alexandria, relaxed with PBE, the powder diffraction line list of Ac3Rh2 was simulated for Cu Kα (λ = 1.5418 Å).

Crystal structure
abc: 7.4473 7.4473 20.6071
angles: 90.00 90.00 120.00
Space group R-3c (No. 167, hexagonal axes)
One atom of each set of equivalent atoms:
Ac (0.0000, 0.3324, 0.2500) x18
Rh (0.0000, 0.0000, 0.1683) x12

Peak list (10 most intense, 2θ from 5° to 70°, by angle)
index, 2θ (°), I (rel.)
0 0 6, 25.94, 11
1 1 3, 27.24, 100
1 1 6, 35.56, 45
3 0 0, 42.03, 37
1 1 9, 46.56, 24
3 0 6, 50.05, 12
2 2 3, 50.81, 19
2 2 6, 56.20, 12
2 2 9, 64.51, 9
4 1 3, 67.99, 16